Calculated powder diffractogram of BaMn2Ge2 for Cu Kα (weighted mean of Kα1 and Kα2), from a PBE-relaxed structure.

Structural model:
```
BaMn2Ge2
1.0
4.288 0.000 0.000
0.000 4.288 0.000
0.000 0.000 12.188
Ba Mn Ge
2 4 4
direct
0.000 0.000 0.000
0.500 0.500 0.500
0.000 0.500 0.250
0.000 0.500 0.750
0.500 0.000 0.250
0.500 0.000 0.750
0.000 0.000 0.352
0.000 0.000 0.648
0.500 0.500 0.148
0.500 0.500 0.852
```

Main lines, in order of rising 2θ (10 to 90 degrees two-theta):
| d [Å] | Rel. int. |
| --- | --- |
| 3.032 | 21 |
| 2.949 | 100 |
| 2.715 | 43 |
| 2.144 | 42 |
| 2.119 | 10 |
| 1.734 | 41 |
| 1.688 | 32 |
| 1.516 | 13 |
| 1.348 | 9 |
| 1.324 | 8 |
| 1.141 | 11 |
| 1.128 | 17 |

***

Calculated powder diffractogram of Ba4GeN4 for Cu Kα (weighted mean of Kα1 and Kα2), from a PBE-relaxed structure.

Structural model:
```
Ba4GeN4
1.0
12.860 0.000 0.000
0.000 4.023 0.000
0.000 0.000 17.184
Ba Ge N
16 4 16
direct
0.115 0.250 0.124
0.125 0.250 0.538
0.128 0.750 0.337
0.132 0.750 0.734
0.368 0.250 0.234
0.372 0.250 0.837
0.375 0.750 0.038
0.385 0.750 0.624
0.615 0.250 0.376
0.625 0.250 0.962
0.628 0.750 0.163
0.632 0.750 0.766
0.868 0.250 0.266
0.872 0.250 0.663
0.875 0.750 0.462
0.885 0.750 0.876
0.120 0.250 0.927
0.380 0.750 0.427
0.620 0.250 0.573
0.880 0.750 0.073
0.005 0.250 0.386
0.054 0.250 0.839
0.228 0.750 0.191
0.237 0.250 0.979
0.263 0.750 0.479
0.272 0.250 0.691
0.446 0.750 0.339
0.495 0.750 0.886
0.505 0.250 0.114
0.554 0.250 0.661
0.728 0.750 0.309
0.737 0.250 0.521
0.763 0.750 0.021
0.772 0.250 0.809
0.946 0.750 0.161
0.995 0.750 0.614
```

Main lines, in order of rising 2θ (10 to 90 degrees two-theta):
| d [Å] | Rel. int. |
| --- | --- |
| 3.215 | 62 |
| 3.189 | 40 |
| 3.170 | 100 |
| 3.031 | 90 |
| 2.611 | 36 |
| 2.096 | 27 |
| 2.011 | 23 |
| 1.847 | 19 |
| 1.819 | 20 |
| 1.755 | 22 |
| 1.705 | 27 |
| 1.676 | 31 |

***

Calculated powder diffractogram of Ba7GeN6 for Cu Kα (weighted mean of Kα1 and Kα2), from a PBE-relaxed structure.

Structural model:
```
Ba7GeN6
1.0
12.635 0.000 0.000
0.000 7.023 0.000
0.000 0.000 14.589
Ba Ge N
28 4 24
direct
0.000 0.070 0.250
0.000 0.930 0.750
0.037 0.242 0.517
0.037 0.758 0.017
0.211 0.399 0.128
0.211 0.601 0.628
0.219 0.355 0.874
0.219 0.645 0.374
0.281 0.145 0.374
0.281 0.855 0.874
0.289 0.101 0.628
0.289 0.899 0.128
0.463 0.258 0.017
0.463 0.742 0.517
0.500 0.430 0.750
0.500 0.570 0.250
0.537 0.258 0.483
0.537 0.742 0.983
0.711 0.101 0.872
0.711 0.899 0.372
0.719 0.145 0.126
0.719 0.855 0.626
0.781 0.355 0.626
0.781 0.645 0.126
0.789 0.399 0.372
0.789 0.601 0.872
0.963 0.242 0.983
0.963 0.758 0.483
0.000 0.416 0.750
0.000 0.584 0.250
0.500 0.084 0.250
0.500 0.916 0.750
0.040 0.427 0.354
0.040 0.573 0.854
0.119 0.253 0.711
0.119 0.747 0.211
0.164 0.105 0.001
0.164 0.895 0.501
0.336 0.395 0.501
0.336 0.605 0.001
0.381 0.247 0.211
0.381 0.753 0.711
0.460 0.073 0.854
0.460 0.927 0.354
0.540 0.073 0.646
0.540 0.927 0.146
0.619 0.247 0.289
0.619 0.753 0.789
0.664 0.395 0.999
0.664 0.605 0.499
0.836 0.105 0.499
0.836 0.895 0.999
0.881 0.253 0.789
0.881 0.747 0.289
0.960 0.427 0.146
0.960 0.573 0.646
```

Main lines, in order of rising 2θ (10 to 90 degrees two-theta):
| d [Å] | Rel. int. |
| --- | --- |
| 3.612 | 8 |
| 3.296 | 21 |
| 3.159 | 100 |
| 2.827 | 41 |
| 2.777 | 18 |
| 2.652 | 8 |
| 2.359 | 8 |
| 2.210 | 8 |
| 1.992 | 8 |
| 1.863 | 10 |
| 1.824 | 11 |
| 1.581 | 7 |

***

Calculated powder diffractogram of Ba5Ge2N6 for Cu Kα (weighted mean of Kα1 and Kα2), from a PBE-relaxed structure.

Structural model:
```
Ba5Ge2N6
1.0
5.391 -3.578 0.000
5.391 3.578 0.000
-2.354 0.000 14.184
Ba Ge N
10 4 12
direct
0.111 0.889 0.750
0.178 0.718 0.008
0.273 0.415 0.289
0.282 0.822 0.492
0.415 0.273 0.789
0.585 0.727 0.211
0.718 0.178 0.508
0.727 0.585 0.711
0.822 0.282 0.992
0.889 0.111 0.250
0.143 0.408 0.575
0.408 0.143 0.075
0.592 0.857 0.925
0.857 0.592 0.425
0.084 0.215 0.648
0.120 0.300 0.442
0.215 0.084 0.148
0.300 0.120 0.942
0.392 0.482 0.623
0.482 0.392 0.123
0.518 0.608 0.877
0.608 0.518 0.377
0.700 0.880 0.058
0.785 0.916 0.852
0.880 0.700 0.558
0.916 0.785 0.352
```

Main lines, in order of rising 2θ (10 to 90 degrees two-theta):
| d [Å] | Rel. int. |
| --- | --- |
| 3.546 | 65 |
| 3.470 | 34 |
| 3.195 | 98 |
| 3.176 | 100 |
| 3.072 | 44 |
| 3.008 | 92 |
| 2.853 | 85 |
| 2.836 | 91 |
| 2.750 | 77 |
| 1.986 | 34 |
| 1.973 | 36 |
| 1.771 | 37 |

***

Calculated powder diffractogram of Ba3Ge2N4 for Cu Kα (weighted mean of Kα1 and Kα2), from a PBE-relaxed structure.

Structural model:
```
Ba3Ge2N4
1.0
6.186 0.000 0.000
0.000 10.833 0.000
0.000 0.000 10.323
Ba Ge N
12 8 16
direct
0.122 0.160 0.081
0.122 0.340 0.419
0.250 0.000 0.398
0.250 0.500 0.102
0.378 0.660 0.419
0.378 0.840 0.081
0.622 0.160 0.919
0.622 0.340 0.581
0.750 0.000 0.602
0.750 0.500 0.898
0.878 0.660 0.581
0.878 0.840 0.919
0.084 0.250 0.750
0.250 0.000 0.743
0.250 0.500 0.757
0.416 0.750 0.750
0.584 0.250 0.250
0.750 0.000 0.257
0.750 0.500 0.243
0.916 0.750 0.250
0.017 0.052 0.844
0.017 0.448 0.656
0.210 0.648 0.864
0.210 0.852 0.636
0.290 0.148 0.636
0.290 0.352 0.864
0.483 0.552 0.656
0.483 0.948 0.844
0.517 0.052 0.156
0.517 0.448 0.344
0.710 0.648 0.136
0.710 0.852 0.364
0.790 0.148 0.364
0.790 0.352 0.136
0.983 0.552 0.344
0.983 0.948 0.156
```

Main lines, in order of rising 2θ (10 to 90 degrees two-theta):
| d [Å] | Rel. int. |
| --- | --- |
| 3.409 | 81 |
| 3.198 | 22 |
| 3.007 | 100 |
| 2.974 | 46 |
| 2.898 | 57 |
| 2.858 | 20 |
| 2.686 | 22 |
| 2.669 | 80 |
| 2.599 | 39 |
| 1.988 | 24 |
| 1.681 | 28 |
| 1.548 | 18 |

***

Calculated powder diffractogram of Ba6Ge2N7 for Cu Kα (weighted mean of Kα1 and Kα2), from a PBE-relaxed structure.

Structural model:
```
Ba6Ge2N7
1.0
4.025 2.324 5.938
-4.025 2.324 5.938
0.000 -4.648 5.938
Ba Ge N
6 2 7
direct
0.170 0.353 0.733
0.267 0.830 0.647
0.353 0.733 0.170
0.647 0.267 0.830
0.733 0.170 0.353
0.830 0.647 0.267
0.252 0.252 0.252
0.748 0.748 0.748
0.028 0.246 0.484
0.246 0.484 0.028
0.484 0.028 0.246
0.500 0.500 0.500
0.516 0.972 0.754
0.754 0.516 0.972
0.972 0.754 0.516
```

Main lines, in order of rising 2θ (10 to 90 degrees two-theta):
| d [Å] | Rel. int. |
| --- | --- |
| 3.332 | 100 |
| 3.246 | 71 |
| 2.969 | 57 |
| 2.745 | 50 |
| 2.607 | 42 |
| 2.324 | 20 |
| 2.119 | 24 |
| 1.922 | 31 |
| 1.877 | 16 |
| 1.830 | 31 |
| 1.776 | 19 |
| 1.700 | 21 |

***

Calculated powder diffractogram of Ba3Ge2N2 for Cu Kα (weighted mean of Kα1 and Kα2), from a PBE-relaxed structure.

Structural model:
```
Ba3Ge2N2
1.0
9.726 0.000 0.000
0.000 4.107 0.000
-4.107 0.000 9.376
Ba Ge N
6 4 4
direct
0.027 0.250 0.173
0.187 0.750 0.559
0.386 0.750 0.144
0.614 0.250 0.856
0.813 0.250 0.441
0.973 0.750 0.827
0.247 0.250 0.847
0.421 0.250 0.445
0.579 0.750 0.555
0.753 0.750 0.153
0.071 0.250 0.676
0.182 0.250 0.999
0.818 0.750 0.001
0.929 0.750 0.324
```

Main lines, in order of rising 2θ (10 to 90 degrees two-theta):
| d [Å] | Rel. int. |
| --- | --- |
| 3.281 | 70 |
| 3.242 | 29 |
| 3.228 | 91 |
| 3.191 | 79 |
| 3.125 | 67 |
| 3.089 | 40 |
| 2.926 | 100 |
| 2.670 | 85 |
| 2.537 | 27 |
| 2.356 | 35 |
| 2.053 | 43 |
| 1.733 | 60 |

***

Calculated powder diffractogram of Ba4GeN4 for Cu Kα (weighted mean of Kα1 and Kα2), from a PBE-relaxed structure.

Structural model:
```
Ba4GeN4
1.0
7.039 0.000 0.000
3.194 6.288 0.000
2.541 -0.096 8.860
Ba Ge N
8 2 8
direct
0.026 0.227 0.056
0.112 0.328 0.634
0.268 0.793 0.544
0.425 0.733 0.129
0.575 0.267 0.871
0.732 0.207 0.456
0.888 0.672 0.366
0.974 0.773 0.944
0.364 0.265 0.246
0.636 0.735 0.754
0.151 0.159 0.348
0.229 0.462 0.091
0.340 0.947 0.837
0.342 0.470 0.383
0.658 0.530 0.617
0.660 0.053 0.163
0.771 0.538 0.909
0.849 0.841 0.652
```

Main lines, in order of rising 2θ (10 to 90 degrees two-theta):
| d [Å] | Rel. int. |
| --- | --- |
| 3.379 | 30 |
| 3.214 | 49 |
| 3.190 | 70 |
| 3.143 | 100 |
| 3.124 | 91 |
| 2.988 | 93 |
| 2.967 | 52 |
| 2.923 | 49 |
| 2.617 | 53 |
| 2.579 | 40 |
| 2.493 | 31 |
| 1.701 | 32 |